Starting from DFT lattice parameters and positions (PBE+U), the powder X-ray diffraction pattern of KMoAsO6 was simulated for copper Kα.

Most intense lines, 2θ = 5–70°, sorted by position:
2θ 14.78, intensity 53, hkl 1 0 1; 2θ 24.84, intensity 55, hkl 0 0 2; 2θ 26.36, intensity 40, hkl 0 2 0; 2θ 27.45, intensity 100, hkl 3 0 1; 2θ 30.35, intensity 55, hkl 1 2 1; 2θ 40.20, intensity 22, hkl 2 2 2

```
36
Lattice="10.937 0.000 0.000 0.000 6.763 0.000 0.000 0.000 7.168" Properties=species:S:1:pos:R:3 pbc="T T T"
K 0.000 0.000 0.000
K 0.000 3.382 0.000
K 5.469 0.000 3.584
K 5.469 3.382 3.584
Mo 1.762 1.691 3.271
Mo 3.706 5.072 6.855
Mo 7.231 1.691 0.313
Mo 9.175 5.072 3.898
As 1.681 5.072 3.922
As 3.788 1.691 0.338
As 7.149 5.072 6.830
As 9.257 1.691 3.246
O 0.279 5.072 4.911
O 0.991 1.691 4.833
O 1.647 3.679 2.886
O 1.647 6.466 2.886
O 2.028 5.072 0.122
O 2.261 1.691 1.126
O 3.207 5.072 4.710
O 3.441 1.691 3.707
O 3.821 0.297 6.470
O 3.821 3.084 6.470
O 4.477 5.072 1.249
O 5.190 1.691 1.327
O 5.747 5.072 5.841
O 6.460 1.691 5.919
O 7.116 3.679 0.699
O 7.116 6.466 0.699
O 7.496 5.072 3.462
O 7.730 1.691 2.459
O 8.676 5.072 6.043
O 8.909 1.691 7.046
O 9.290 0.297 4.283
O 9.290 3.084 4.283
O 9.946 5.072 2.335
O 10.658 1.691 2.257
```